(1)
The following is a theoretical X-ray diffraction stick pattern of PmCdF6. It was derived from a cell relaxed with PBE, using λ = 1.5418 Å (Cu Kα).
Intensities are scaled so that the largest is 100.

Peak list (10 most intense, 2θ from 5° to 70°, by angle)
- 23.25 deg, I = 100
- 27.66 deg, I = 100
- 33.12 deg, I = 17
- 43.68 deg, I = 83
- 47.54 deg, I = 20
- 51.38 deg, I = 23
- 53.57 deg, I = 18
- 55.89 deg, I = 24
- 57.12 deg, I = 16
- 66.53 deg, I = 15

Atomic structure:
```
data_PmCdF6
_cell_length_a 5.4095
_cell_length_b 5.4095
_cell_length_c 8.0347
_cell_angle_alpha 90.00
_cell_angle_beta 90.00
_cell_angle_gamma 90.00
_space_group_name_H-M_alt 'P 42/m'
_space_group_IT_number 84
_space_group_name_Hall '-P 4c'
loop_
_atom_site_label
_atom_site_type_symbol
_atom_site_fract_x
_atom_site_fract_y
_atom_site_fract_z
Pm1 Pm 0.0000 0.0000 0.2500
Cd1 Cd 0.5000 0.5000 0.0000
F1 F 0.1519 0.7957 0.0000
F2 F 0.2441 0.6731 0.3290
```

(2)
The following is a theoretical X-ray diffraction stick pattern of Ag3ICl8. It was derived from a cell relaxed with PBE, using λ = 1.5418 Å (Cu Kα).
Intensities are scaled so that the largest is 100.

Peak list (10 most intense, 2θ from 5° to 70°, by angle)
- 14.02 deg, I = 87
- 17.14 deg, I = 68
- 24.26 deg, I = 50
- 29.36 deg, I = 100
- 35.56 deg, I = 19
- 36.52 deg, I = 32
- 39.50 deg, I = 22
- 41.48 deg, I = 17
- 43.95 deg, I = 17
- 47.53 deg, I = 45

Atomic structure:
```
data_Ag3ICl8
_cell_length_a 8.2414
_cell_length_b 9.8425
_cell_length_c 9.0106
_cell_angle_alpha 90.00
_cell_angle_beta 90.00
_cell_angle_gamma 90.00
_space_group_name_H-M_alt 'C 2 2 2'
_space_group_IT_number 21
_space_group_name_Hall 'C 2 2'
loop_
_atom_site_label
_atom_site_type_symbol
_atom_site_fract_x
_atom_site_fract_y
_atom_site_fract_z
Ag1 Ag 0.0000 0.0000 0.0000
Ag2 Ag 0.2500 0.2500 0.8187
I1 I 0.0000 0.0000 0.5000
Cl1 Cl 0.0000 0.2473 0.0000
Cl2 Cl 0.0000 0.2504 0.5000
Cl3 Cl 0.2202 0.0063 0.7018
```